1.
# Rb2GeBiSe4
Theoretical powder X-ray diffraction pattern, Cu Kα (weighted mean of Kα1 and Kα2). Input: a PBE-relaxed structure.
No peak broadening, texture or thermal motion is included.

```
data_Rb2GeBiSe4
_chemical_formula_sum 'Rb16 Ge8 Bi8 Se32'
_space_group_name_H-M_alt 'F d d d'
_space_group_IT_number 70
_cell_length_a 6.727
_cell_length_b 14.842
_cell_length_c 24.735
_cell_angle_alpha 90.00
_cell_angle_beta 90.00
_cell_angle_gamma 90.00
loop_
_space_group_symop_operation_xyz
'x,y,z'
'-x,-y,-z'
'-x+1/4,-y+1/4,z'
'x+1/4,y+1/4,-z'
'x,-y+1/4,-z+1/4'
'-x,y+1/4,z+1/4'
'-x+1/4,y,-z+1/4'
'x+1/4,-y,z+1/4'
'x,y+1/2,z+1/2'
'-x,-y+1/2,-z+1/2'
'-x+1/4,-y+3/4,z+1/2'
'x+1/4,y+3/4,-z+1/2'
'x,-y+3/4,-z+3/4'
'-x,y+3/4,z+3/4'
'-x+1/4,y+1/2,-z+3/4'
'x+1/4,-y+1/2,z+3/4'
'x+1/2,y,z+1/2'
'-x+1/2,-y,-z+1/2'
'-x+3/4,-y+1/4,z+1/2'
'x+3/4,y+1/4,-z+1/2'
'x+1/2,-y+1/4,-z+3/4'
'-x+1/2,y+1/4,z+3/4'
'-x+3/4,y,-z+3/4'
'x+3/4,-y,z+3/4'
'x+1/2,y+1/2,z'
'-x+1/2,-y+1/2,-z'
'-x+3/4,-y+3/4,z'
'x+3/4,y+3/4,-z'
'x+1/2,-y+3/4,-z+1/4'
'-x+1/2,y+3/4,z+1/4'
'-x+3/4,y+1/2,-z+1/4'
'x+3/4,-y+1/2,z+1/4'
loop_
_atom_site_label
_atom_site_type_symbol
_atom_site_fract_x
_atom_site_fract_y
_atom_site_fract_z
Rb1 Rb 0.125 0.125 0.308
Ge1 Ge 0.125 0.125 0.625
Bi1 Bi 0.125 0.125 0.125
Se1 Se 0.097 0.271 0.817
```

The 6 most intense peaks (5 to 70 degrees two-theta), by angle:
13.9°, rel. 89, hkl 0 2 2
14.3°, rel. 74, hkl 0 0 4
24.7°, rel. 66, hkl 0 2 6
28.8°, rel. 100, hkl 1 3 5
34.4°, rel. 71, hkl 2 0 6
45.5°, rel. 77, hkl 2 6 0


2.
# PmTmTh14
Theoretical powder X-ray diffraction pattern, Cu Kα (weighted mean of Kα1 and Kα2). Input: a PBE-relaxed structure.
No peak broadening, texture or thermal motion is included.

```
data_PmTmTh14
_chemical_formula_sum 'Pm2 Tm2 Th28'
_space_group_name_H-M_alt 'A m m 2'
_space_group_IT_number 38
_cell_length_a 11.592
_cell_length_b 7.172
_cell_length_c 12.435
_cell_angle_alpha 90.00
_cell_angle_beta 90.00
_cell_angle_gamma 90.00
loop_
_space_group_symop_operation_xyz
'x,y,z'
'-x,-y,z'
'-x,y,z'
'x,-y,z'
'x,y+1/2,z+1/2'
'-x,-y+1/2,z+1/2'
'-x,y+1/2,z+1/2'
'x,-y+1/2,z+1/2'
loop_
_atom_site_label
_atom_site_type_symbol
_atom_site_fract_x
_atom_site_fract_y
_atom_site_fract_z
Pm1 Pm 0.000 0.000 0.000
Tm1 Tm 0.000 0.000 0.499
Th1 Th 0.000 0.249 0.246
Th2 Th 0.250 0.000 0.665
Th3 Th 0.250 0.249 0.415
Th4 Th 0.252 0.000 0.165
Th5 Th 0.500 0.000 0.332
Th6 Th 0.500 0.000 0.832
Th7 Th 0.500 0.249 0.582
```

The 6 most intense peaks (5 to 70 degrees two-theta), by angle:
29.8°, rel. 38, hkl 1 0 4
30.9°, rel. 33, hkl 4 0 0
32.7°, rel. 100, hkl 2 2 2
50.9°, rel. 26, hkl 0 4 0
56.1°, rel. 22, hkl 6 2 2
60.7°, rel. 31, hkl 4 4 0